No. 1
Starting from a DFT-relaxed cell (PBE, Alexandria), the powder X-ray diffraction pattern of SbH2PtS was computed for Cu Kα.
Neutral-atom scattering factors, no anomalous dispersion.

The 10 most intense peaks (10 to 80 degrees two-theta), in order of falling intensity:
- 31.91°, 2.805 Å, intensity 100.0
- 14.49°, 6.115 Å, intensity 92.0
- 25.88°, 3.443 Å, intensity 90.3
- 40.76°, 2.214 Å, intensity 46.6
- 42.28°, 2.137 Å, intensity 46.5
- 24.15°, 3.685 Å, intensity 24.7
- 29.09°, 3.069 Å, intensity 23.3
- 54.45°, 1.685 Å, intensity 23.1
- 43.80°, 2.067 Å, intensity 22.7
- 47.02°, 1.933 Å, intensity 18.4

Structural model:
Cell: 12.2457 3.8651 3.4477 Å, 90.00 92.99 90.00°
Positions (direct):
Sb  0.0000  0.0000  0.0000
Sb  0.5000  0.5000  0.0000
H  0.1873  0.5000  0.5819
H  0.3622  0.0000  0.4710
H  0.6873  0.0000  0.5819
H  0.8622  0.5000  0.4710
Pt  0.3538  0.0000  0.9693
Pt  0.8538  0.5000  0.9693
S  0.2248  0.5000  0.9613
S  0.7248  0.0000  0.9613

---

No. 2
Starting from a DFT-relaxed cell (PBE, Alexandria), the powder X-ray diffraction pattern of SbH2PtS was computed for Cu Kα.
Neutral-atom scattering factors, no anomalous dispersion.

The 10 most intense peaks (10 to 80 degrees two-theta), in order of falling intensity:
- 26.07°, 3.418 Å, intensity 100.0
- 17.17°, 5.164 Å, intensity 47.5
- 37.94°, 2.371 Å, intensity 42.3
- 23.00°, 3.866 Å, intensity 40.5
- 30.39°, 2.942 Å, intensity 34.2
- 45.43°, 1.997 Å, intensity 32.4
- 35.35°, 2.539 Å, intensity 24.5
- 50.23°, 1.816 Å, intensity 24.2
- 47.80°, 1.903 Å, intensity 20.8
- 41.88°, 2.157 Å, intensity 16.7

Structural model:
Cell: 10.7288 3.6219 4.4821 Å, 90.00 105.73 90.00°
Positions (direct):
Sb  0.0000  0.0000  0.0000
Sb  0.5000  0.5000  0.0000
H  0.2580  0.5000  0.6328
H  0.3603  0.0000  0.4439
H  0.7580  0.0000  0.6328
H  0.8603  0.5000  0.4439
Pt  0.3598  0.5000  0.4273
Pt  0.8598  0.0000  0.4273
S  0.1683  0.5000  0.9980
S  0.6683  0.0000  0.9980

---

No. 3
Starting from a DFT-relaxed cell (PBE, Alexandria), the powder X-ray diffraction pattern of Sn2SbHPt was computed for Cu Kα.
Neutral-atom scattering factors, no anomalous dispersion.

The 10 most intense peaks (10 to 80 degrees two-theta), in order of falling intensity:
- 32.84°, 2.727 Å, intensity 100.0
- 30.32°, 2.948 Å, intensity 76.6
- 45.30°, 2.002 Å, intensity 51.3
- 47.12°, 1.929 Å, intensity 36.9
- 41.98°, 2.152 Å, intensity 32.7
- 63.07°, 1.474 Å, intensity 31.2
- 25.42°, 3.504 Å, intensity 29.7
- 72.96°, 1.297 Å, intensity 20.6
- 34.59°, 2.593 Å, intensity 17.1
- 78.40°, 1.220 Å, intensity 17.1

Structural model:
Cell: 5.4547 5.4547 3.5036 Å, 90.00 90.00 90.00°
Positions (direct):
Sn  0.0000  0.5000  0.0000
Sn  0.5000  0.0000  0.0000
Sb  0.0000  0.0000  0.5000
H  0.5000  0.5000  0.5000
Pt  0.5000  0.5000  0.0000

---

No. 4
Starting from a DFT-relaxed cell (PBE, Alexandria), the powder X-ray diffraction pattern of ScH2Pt was computed for Cu Kα.
Neutral-atom scattering factors, no anomalous dispersion.

The 10 most intense peaks (10 to 80 degrees two-theta), in order of falling intensity:
- 35.90°, 2.501 Å, intensity 100.0
- 24.50°, 3.633 Å, intensity 89.1
- 36.89°, 2.436 Å, intensity 64.1
- 38.05°, 2.365 Å, intensity 60.3
- 37.46°, 2.401 Å, intensity 56.2
- 27.53°, 3.241 Å, intensity 53.0
- 45.03°, 2.013 Å, intensity 52.4
- 22.74°, 3.910 Å, intensity 48.6
- 22.96°, 3.873 Å, intensity 35.4
- 54.40°, 1.687 Å, intensity 33.2

Structural model:
Cell: 5.6823 5.6748 6.4823 Å, 90.00 123.66 90.00°
Positions (direct):
Sc  0.2261  0.1624  0.4335
Sc  0.2261  0.3376  0.9335
Sc  0.7739  0.6624  0.0665
Sc  0.7739  0.8376  0.5665
H  0.0093  0.1399  0.6095
H  0.0093  0.3601  0.1095
H  0.4782  0.0858  0.2600
H  0.4782  0.4142  0.7600
H  0.5218  0.5858  0.2400
H  0.5218  0.9142  0.7400
H  0.9907  0.6399  0.8905
H  0.9907  0.8601  0.3905
Pt  0.2499  0.6462  0.5861
Pt  0.2499  0.8538  0.0861
Pt  0.7501  0.1462  0.9139
Pt  0.7501  0.3538  0.4139

---

No. 5
Starting from a DFT-relaxed cell (PBE, Alexandria), the powder X-ray diffraction pattern of Sc2HPt6 was computed for Cu Kα.
Neutral-atom scattering factors, no anomalous dispersion.

The 10 most intense peaks (10 to 80 degrees two-theta), in order of falling intensity:
- 38.64°, 2.330 Å, intensity 100.0
- 44.92°, 2.018 Å, intensity 49.3
- 78.63°, 1.217 Å, intensity 38.5
- 65.41°, 1.427 Å, intensity 32.3
- 22.03°, 4.036 Å, intensity 17.4
- 31.35°, 2.854 Å, intensity 14.4
- 50.57°, 1.805 Å, intensity 8.2
- 55.80°, 1.648 Å, intensity 6.2
- 69.93°, 1.345 Å, intensity 4.0
- 74.32°, 1.276 Å, intensity 2.7

Structural model:
Cell: 5.7064 5.7064 5.7064 Å, 119.96 119.96 90.06°
Positions (direct):
Sc  0.2500  0.7500  0.5000
Sc  0.7500  0.2500  0.5000
H  0.0000  0.0000  0.0000
Pt  0.2528  0.2528  0.0000
Pt  0.2527  0.2527  0.5053
Pt  0.2527  0.7473  0.0000
Pt  0.7473  0.2527  0.0000
Pt  0.7472  0.7472  0.0000
Pt  0.7473  0.7473  0.4947

---

No. 6
Starting from a DFT-relaxed cell (PBE, Alexandria), the powder X-ray diffraction pattern of HPtSe was computed for Cu Kα.
Neutral-atom scattering factors, no anomalous dispersion.

The 10 most intense peaks (10 to 80 degrees two-theta), in order of falling intensity:
- 23.19°, 3.836 Å, intensity 100.0
- 32.88°, 2.724 Å, intensity 54.9
- 44.06°, 2.055 Å, intensity 50.6
- 32.45°, 2.759 Å, intensity 44.3
- 36.92°, 2.434 Å, intensity 26.9
- 46.44°, 1.955 Å, intensity 26.5
- 46.97°, 1.934 Å, intensity 24.9
- 64.15°, 1.452 Å, intensity 18.4
- 78.83°, 1.214 Å, intensity 17.7
- 49.55°, 1.840 Å, intensity 16.9

Structural model:
Cell: 8.3149 8.3149 8.3149 Å, 98.54 98.54 134.66°
Positions (direct):
H  0.1781  0.1551  0.2414
H  0.3449  0.0862  0.0229
H  0.4138  0.9367  0.2586
H  0.4367  0.6781  0.5229
H  0.5633  0.3219  0.4771
H  0.5862  0.0633  0.7414
H  0.6551  0.9138  0.9771
H  0.8219  0.8449  0.7586
Pt  0.2390  0.2095  0.0608
Pt  0.2905  0.8514  0.0295
Pt  0.3219  0.2610  0.4705
Pt  0.3514  0.8219  0.5608
Pt  0.6486  0.1781  0.4392
Pt  0.6781  0.7390  0.5295
Pt  0.7095  0.1486  0.9705
Pt  0.7610  0.7905  0.9392
Se  0.0596  0.8475  0.4843
Se  0.0753  0.5596  0.7121
Se  0.1368  0.4247  0.9843
Se  0.3475  0.3632  0.7879
Se  0.6525  0.6368  0.2121
Se  0.8632  0.5753  0.0157
Se  0.9247  0.4404  0.2879
Se  0.9404  0.1525  0.5157

---

No. 7
Starting from a DFT-relaxed cell (PBE, Alexandria), the powder X-ray diffraction pattern of HPtSe was computed for Cu Kα.
Neutral-atom scattering factors, no anomalous dispersion.

The 10 most intense peaks (10 to 80 degrees two-theta), in order of falling intensity:
- 32.03°, 2.795 Å, intensity 100.0
- 47.81°, 1.902 Å, intensity 66.1
- 34.54°, 2.597 Å, intensity 41.8
- 17.07°, 5.194 Å, intensity 39.0
- 45.93°, 1.976 Å, intensity 37.7
- 58.71°, 1.573 Å, intensity 36.4
- 36.51°, 2.461 Å, intensity 23.7
- 76.17°, 1.250 Å, intensity 16.9
- 77.59°, 1.230 Å, intensity 16.3
- 66.97°, 1.397 Å, intensity 12.3

Structural model:
Cell: 2.7945 2.7945 5.1940 Å, 90.00 90.00 90.00°
Positions (direct):
H  0.0000  0.0000  0.0000
Pt  0.5000  0.5000  0.0000
Se  0.5000  0.5000  0.5000

---

No. 8
Starting from a DFT-relaxed cell (PBE, Alexandria), the powder X-ray diffraction pattern of Si2HPt was computed for Cu Kα.
Neutral-atom scattering factors, no anomalous dispersion.

The 10 most intense peaks (10 to 80 degrees two-theta), in order of falling intensity:
- 16.71°, 5.306 Å, intensity 100.0
- 29.07°, 3.072 Å, intensity 75.2
- 39.15°, 2.301 Å, intensity 48.0
- 27.37°, 3.259 Å, intensity 41.3
- 50.50°, 1.807 Å, intensity 34.9
- 47.29°, 1.922 Å, intensity 28.7
- 35.14°, 2.554 Å, intensity 21.6
- 48.47°, 1.878 Å, intensity 16.6
- 53.66°, 1.708 Å, intensity 15.9
- 63.01°, 1.475 Å, intensity 12.0

Structural model:
Cell: 3.8447 3.8447 15.9192 Å, 90.00 90.00 120.00°
Positions (direct):
Si  0.0000  0.0000  0.1050
Si  0.0000  0.0000  0.8950
Si  0.3333  0.6667  0.5617
Si  0.3333  0.6667  0.7717
Si  0.6667  0.3333  0.2283
Si  0.6667  0.3333  0.4383
H  0.0000  0.0000  0.0000
H  0.3333  0.6667  0.6667
H  0.6667  0.3333  0.3333
Pt  0.0000  0.0000  0.5000
Pt  0.3333  0.6667  0.1667
Pt  0.6667  0.3333  0.8333

---

No. 9
Starting from a DFT-relaxed cell (PBE, Alexandria), the powder X-ray diffraction pattern of SmHPt was computed for Cu Kα.
Neutral-atom scattering factors, no anomalous dispersion.

The 10 most intense peaks (10 to 80 degrees two-theta), in order of falling intensity:
- 31.12°, 2.874 Å, intensity 100.0
- 39.15°, 2.301 Å, intensity 85.8
- 37.79°, 2.381 Å, intensity 38.2
- 32.99°, 2.715 Å, intensity 32.4
- 38.16°, 2.359 Å, intensity 24.0
- 72.35°, 1.306 Å, intensity 20.6
- 47.59°, 1.911 Å, intensity 19.9
- 51.02°, 1.790 Å, intensity 19.1
- 62.31°, 1.490 Å, intensity 17.9
- 69.15°, 1.359 Å, intensity 16.8

Structural model:
Cell: 3.8213 10.8602 4.7613 Å, 90.00 90.00 90.00°
Positions (direct):
Sm  0.0000  0.1366  0.2500
Sm  0.0000  0.8634  0.7500
Sm  0.5000  0.3634  0.7500
Sm  0.5000  0.6366  0.2500
H  0.0000  0.1001  0.7500
H  0.0000  0.8999  0.2500
H  0.5000  0.3999  0.2500
H  0.5000  0.6001  0.7500
Pt  0.0000  0.4110  0.2500
Pt  0.0000  0.5890  0.7500
Pt  0.5000  0.0890  0.7500
Pt  0.5000  0.9110  0.2500

---

No. 10
Starting from a DFT-relaxed cell (PBE, Alexandria), the powder X-ray diffraction pattern of SmH6Pt4 was computed for Cu Kα.
Neutral-atom scattering factors, no anomalous dispersion.

The 10 most intense peaks (10 to 80 degrees two-theta), in order of falling intensity:
- 34.41°, 2.606 Å, intensity 100.0
- 32.93°, 2.720 Å, intensity 90.1
- 42.91°, 2.108 Å, intensity 81.1
- 38.06°, 2.365 Å, intensity 54.9
- 39.84°, 2.263 Å, intensity 44.1
- 42.11°, 2.146 Å, intensity 39.8
- 32.38°, 2.765 Å, intensity 35.3
- 32.71°, 2.738 Å, intensity 35.0
- 20.69°, 4.292 Å, intensity 34.2
- 41.05°, 2.199 Å, intensity 30.7

Structural model:
Cell: 4.2230 4.3266 6.6368 Å, 83.69 89.04 86.37°
Positions (direct):
Sm  0.0000  0.0000  0.0000
H  0.2466  0.3609  0.4232
H  0.3172  0.4712  0.0829
H  0.4954  0.1260  0.8123
H  0.5390  0.0364  0.2704
H  0.7871  0.3340  0.4766
H  0.9369  0.5474  0.8259
Pt  0.0137  0.6146  0.5627
Pt  0.5049  0.0615  0.5550
Pt  0.5076  0.5312  0.8512
Pt  0.5328  0.6513  0.2627

---

No. 11
Starting from a DFT-relaxed cell (PBE, Alexandria), the powder X-ray diffraction pattern of SmH12Pt4 was computed for Cu Kα.
Neutral-atom scattering factors, no anomalous dispersion.

The 10 most intense peaks (10 to 80 degrees two-theta), in order of falling intensity:
- 35.96°, 2.498 Å, intensity 100.0
- 25.21°, 3.532 Å, intensity 58.2
- 64.64°, 1.442 Å, intensity 37.3
- 58.43°, 1.580 Å, intensity 23.4
- 51.77°, 1.766 Å, intensity 18.6
- 44.43°, 2.039 Å, intensity 16.4
- 17.76°, 4.995 Å, intensity 15.6
- 76.25°, 1.249 Å, intensity 11.9
- 31.01°, 2.884 Å, intensity 8.1
- 48.20°, 1.888 Å, intensity 4.7

Structural model:
Cell: 6.1177 6.1177 6.1177 Å, 109.47 109.47 109.47°
Positions (direct):
Sm  0.0000  0.0000  0.0000
H  0.0018  0.7448  0.2570
H  0.2552  0.2570  0.5122
H  0.2552  0.7430  0.9982
H  0.2570  0.0018  0.7448
H  0.2570  0.5122  0.2552
H  0.4878  0.7448  0.7430
H  0.5122  0.2552  0.2570
H  0.7430  0.4878  0.7448
H  0.7430  0.9982  0.2552
H  0.7448  0.2570  0.0018
H  0.7448  0.7430  0.4878
H  0.9982  0.2552  0.7430
Pt  0.0000  0.0000  0.5000
Pt  0.0000  0.5000  0.0000
Pt  0.5000  0.0000  0.0000
Pt  0.5000  0.5000  0.5000

---

No. 12
Starting from a DFT-relaxed cell (PBE, Alexandria), the powder X-ray diffraction pattern of Tb2SnHPt6 was computed for Cu Kα.
Neutral-atom scattering factors, no anomalous dispersion.

The 10 most intense peaks (10 to 80 degrees two-theta), in order of falling intensity:
- 37.77°, 2.382 Å, intensity 100.0
- 41.21°, 2.191 Å, intensity 56.5
- 65.78°, 1.420 Å, intensity 31.0
- 41.32°, 2.185 Å, intensity 29.4
- 27.85°, 3.203 Å, intensity 28.6
- 37.55°, 2.395 Å, intensity 23.5
- 34.53°, 2.598 Å, intensity 19.9
- 29.49°, 3.029 Å, intensity 15.9
- 78.42°, 1.219 Å, intensity 14.9
- 42.32°, 2.136 Å, intensity 12.2

Structural model:
Cell: 5.6789 5.6789 7.2104 Å, 113.41 113.41 59.99°
Positions (direct):
Tb  0.2200  0.2200  0.1650
Tb  0.7800  0.7800  0.8350
Sn  0.5000  0.5000  0.0000
H  0.0000  0.0000  0.5000
Pt  0.2278  0.2278  0.6796
Pt  0.2293  0.7317  0.6845
Pt  0.2683  0.7707  0.3155
Pt  0.7317  0.2293  0.6845
Pt  0.7707  0.2683  0.3155
Pt  0.7722  0.7722  0.3204